# HfMn2TlO6
Computed powder diffractogram, copper Kα. Input: DFT lattice parameters and positions (PBE+U).
Neutral-atom scattering factors, no anomalous dispersion.

Cell lengths 5.370, 5.434, 5.762 Å; angles 62.60, 89.79, 61.50 degrees
Positions (direct):
Hf1 0.000 0.000 0.000
Mn1 0.212 0.572 0.636
Mn2 0.699 0.596 0.094
Tl1 0.486 0.028 0.457
O1 0.077 0.081 0.308
O2 0.278 0.102 0.801
O3 0.411 0.527 0.289
O4 0.621 0.456 0.845
O5 0.815 0.756 0.294
O6 0.903 0.779 0.832

Principal peaks in the range 15° ≤ 2θ ≤ 90°, low angle first:
Position (°2θ)	I_rel
21.82	53
22.69	100
30.29	60
30.92	56
31.19	52
32.44	52